Gd: calculated XRD peak list (Cu Ka), based on a cell relaxed with PBE.

Principal peaks in the range 5° ≤ 2θ ≤ 70°, by angle:
Position (°2θ)	I_rel
30.6	100
35.4	51
51.0	36
60.6	43
63.6	12

Structure:
```
Gd
1.0
0.0000 2.5327 2.5327
2.5327 0.0000 2.5327
2.5327 2.5327 0.0000
Gd
1
direct
0.0000 0.0000 0.0000 Gd
```